Calculated powder X-ray diffraction pattern
Compound: MnVP2O8F2
Radiation: λ = 1.5418 Å (Cu Kα)
Structure: a DFT-relaxed cell (PBE+U, Alexandria)
Neutral-atom scattering factors, no anomalous dispersion.

Largest 10 diffraction maxima, low angle first, 10° ≤ 2θ ≤ 80°:
- (1 0 0), 18.26 deg, d = 4.858 Å, I = 77
- (0 1 -1), 18.53 deg, d = 4.788 Å, I = 44
- (1 0 -1), 18.93 deg, d = 4.689 Å, I = 62
- (1 -1 0), 23.76 deg, d = 3.745 Å, I = 36
- (1 0 1), 25.93 deg, d = 3.436 Å, I = 95
- (0 1 1), 26.16 deg, d = 3.406 Å, I = 100
- (1 -1 1), 27.08 deg, d = 3.292 Å, I = 32
- (1 1 -2), 29.20 deg, d = 3.058 Å, I = 99
- (1 -2 1), 38.66 deg, d = 2.329 Å, I = 29
- (1 1 2), 47.27 deg, d = 1.923 Å, I = 25

Structural model:
```
data_MnVP2O8F2
_cell_length_a 5.124
_cell_length_b 5.188
_cell_length_c 7.378
_cell_angle_alpha 108.29
_cell_angle_beta 106.40
_cell_angle_gamma 93.19
_space_group_name_H-M_alt 'P -1'
_space_group_IT_number 2
loop_
_space_group_symop_operation_xyz
'x,y,z'
'-x,-y,-z'
loop_
_atom_site_label
_atom_site_type_symbol
_atom_site_fract_x
_atom_site_fract_y
_atom_site_fract_z
_atom_site_occupancy
Mn1 Mn 0.000 0.000 0.000 1
V1 V 0.500 0.500 0.500 1
P1 P 0.082 0.384 0.751 1
O1 O 0.150 0.153 0.836 1
O2 O 0.158 0.670 0.913 1
O3 O 0.230 0.675 0.376 1
O4 O 0.251 0.366 0.603 1
F1 F 0.378 0.190 0.269 1
```